[1]
# CaTe
Calculated powder X-ray diffraction pattern, a wavelength of 1.5418 Å. Input: a cell relaxed with PBE.
Lines closer than 0.1° are merged.

Structure:
a b c (Å): 4.5231 4.5231 4.5231
angles (deg): 60.00 60.00 60.00
Positions (direct):
Ca 0.0000 0.0000 0.0000
Te 0.5000 0.5000 0.5000

Most intense lines, 15 to 90 degrees two-theta, in order of falling intensity:
| 2θ/deg | Rel. int. |
| --- | --- |
| 27.90 | 100 |
| 39.86 | 75 |
| 24.10 | 45 |
| 65.23 | 33 |
| 49.35 | 26 |
| 72.37 | 24 |
| 47.12 | 23 |
| 57.64 | 12 |
| 63.38 | 10 |
| 85.96 | 8 |

***

[2]
# ZnAgP2
Calculated powder X-ray diffraction pattern, a wavelength of 1.5418 Å. Input: a cell relaxed with PBE.
Lines closer than 0.1° are merged.

Structure:
a b c (Å): 4.2976 4.2976 6.7856
angles (deg): 92.31 92.31 37.11
Positions (direct):
Zn 0.0000 0.0000 0.0000
Ag 0.4293 0.4293 0.6627
P 0.6992 0.6992 0.4820
P 0.7328 0.7328 0.1649

Most intense lines, 15 to 90 degrees two-theta, in order of falling intensity:
| 2θ/deg | Rel. int. |
| --- | --- |
| 37.30 | 100 |
| 25.03 | 95 |
| 21.83 | 47 |
| 26.29 | 44 |
| 54.05 | 41 |
| 47.18 | 41 |
| 45.05 | 32 |
| 44.27 | 31 |
| 43.66 | 29 |
| 36.95 | 28 |

***

[3]
# Na4PmHg5
Calculated powder X-ray diffraction pattern, a wavelength of 1.5418 Å. Input: a cell relaxed with PBE.
Lines closer than 0.1° are merged.

Structure:
a b c (Å): 3.7494 3.7494 18.7167
angles (deg): 90.00 90.00 90.00
Positions (direct):
Na 0.0000 0.0000 0.0972
Na 0.0000 0.0000 0.2966
Na 0.0000 0.0000 0.7034
Na 0.0000 0.0000 0.9028
Pm 0.0000 0.0000 0.5000
Hg 0.5000 0.5000 0.0000
Hg 0.5000 0.5000 0.1943
Hg 0.5000 0.5000 0.3982
Hg 0.5000 0.5000 0.6018
Hg 0.5000 0.5000 0.8057

Most intense lines, 15 to 90 degrees two-theta, in order of falling intensity:
| 2θ/deg | Rel. int. |
| --- | --- |
| 33.83 | 100 |
| 23.74 | 44 |
| 60.52 | 37 |
| 54.77 | 19 |
| 48.59 | 18 |
| 41.75 | 14 |
| 71.16 | 11 |
| 81.12 | 11 |
| 76.21 | 9 |
| 81.26 | 5 |

***

[4]
# CeMn10Cu
Calculated powder X-ray diffraction pattern, a wavelength of 1.5418 Å. Input: a cell relaxed with PBE.
Lines closer than 0.1° are merged.

Structure:
a b c (Å): 8.2191 8.2191 4.7595
angles (deg): 90.00 90.00 90.19
Positions (direct):
Ce 0.0000 0.5000 0.0000
Ce 0.5000 0.0000 0.0000
Mn 0.0000 0.0000 0.5049
Mn 0.0616 0.7212 0.4969
Mn 0.1129 0.8871 0.0067
Mn 0.1779 0.1779 0.2340
Mn 0.1776 0.1776 0.7748
Mn 0.2180 0.4292 0.5013
Mn 0.2788 0.9384 0.4969
Mn 0.3218 0.6782 0.2714
Mn 0.3835 0.3835 0.0068
Mn 0.4292 0.2180 0.5013
Mn 0.5000 0.5000 0.5130
Mn 0.5708 0.7820 0.5013
Mn 0.6165 0.6165 0.0068
Mn 0.6782 0.3218 0.2714
Mn 0.7212 0.0616 0.4969
Mn 0.7820 0.5708 0.5013
Mn 0.8221 0.8221 0.2340
Mn 0.8224 0.8224 0.7748
Mn 0.8871 0.1129 0.0067
Mn 0.9384 0.2788 0.4969
Cu 0.3190 0.6810 0.7841
Cu 0.6810 0.3190 0.7841

Most intense lines, 15 to 90 degrees two-theta, in order of falling intensity:
| 2θ/deg | Rel. int. |
| --- | --- |
| 45.42 | 100 |
| 43.97 | 65 |
| 39.47 | 58 |
| 39.54 | 55 |
| 36.21 | 44 |
| 34.51 | 30 |
| 45.54 | 27 |
| 44.10 | 23 |
| 24.17 | 20 |
| 70.57 | 20 |

***

[5]
# TaCu5
Calculated powder X-ray diffraction pattern, a wavelength of 1.5418 Å. Input: a cell relaxed with PBE.
Lines closer than 0.1° are merged.

Structure:
a b c (Å): 2.7457 2.7457 10.3216
angles (deg): 90.00 90.00 90.00
Positions (direct):
Ta 0.0000 0.0000 0.0000
Cu 0.0000 0.0000 0.3450
Cu 0.0000 0.0000 0.6550
Cu 0.5000 0.5000 0.1895
Cu 0.5000 0.5000 0.5000
Cu 0.5000 0.5000 0.8105

Most intense lines, 15 to 90 degrees two-theta, in order of falling intensity:
| 2θ/deg | Rel. int. |
| --- | --- |
| 42.10 | 100 |
| 46.79 | 39 |
| 83.61 | 25 |
| 73.56 | 15 |
| 37.09 | 14 |
| 68.32 | 12 |
| 53.25 | 10 |
| 33.78 | 10 |
| 17.18 | 8 |
| 25.90 | 5 |

***

[6]
# La3Ag2Pd3
Calculated powder X-ray diffraction pattern, a wavelength of 1.5418 Å. Input: a cell relaxed with PBE.
Lines closer than 0.1° are merged.

Structure:
a b c (Å): 8.8918 8.8918 5.8779
angles (deg): 90.00 90.00 120.00
Positions (direct):
La 0.0000 0.3048 0.2500
La 0.0000 0.6952 0.7500
La 0.3048 0.0000 0.2500
La 0.3048 0.3048 0.7500
La 0.6952 0.0000 0.7500
La 0.6952 0.6952 0.2500
Ag 0.3333 0.6667 0.0000
Ag 0.3333 0.6667 0.5000
Ag 0.6667 0.3333 0.0000
Ag 0.6667 0.3333 0.5000
Pd 0.0000 0.3663 0.7500
Pd 0.0000 0.6337 0.2500
Pd 0.3663 0.0000 0.7500
Pd 0.3663 0.3663 0.2500
Pd 0.6337 0.0000 0.2500
Pd 0.6337 0.6337 0.7500

Most intense lines, 15 to 90 degrees two-theta, in order of falling intensity:
| 2θ/deg | Rel. int. |
| --- | --- |
| 34.96 | 100 |
| 36.65 | 76 |
| 51.55 | 24 |
| 34.38 | 22 |
| 63.80 | 22 |
| 74.39 | 22 |
| 47.00 | 21 |
| 30.41 | 16 |
| 62.69 | 12 |
| 66.15 | 10 |

***

[7]
# Ho8GeAs4S3
Calculated powder X-ray diffraction pattern, a wavelength of 1.5418 Å. Input: a cell relaxed with PBE.
Lines closer than 0.1° are merged.

Structure:
a b c (Å): 8.0554 8.0554 8.0554
angles (deg): 60.12 60.12 60.12
Positions (direct):
Ho 0.2505 0.2505 0.2505
Ho 0.2514 0.2514 0.7493
Ho 0.2514 0.7493 0.2514
Ho 0.2507 0.7486 0.7486
Ho 0.7493 0.2514 0.2514
Ho 0.7486 0.2507 0.7486
Ho 0.7486 0.7486 0.2507
Ho 0.7495 0.7495 0.7495
Ge 0.5000 0.5000 0.5000
As 0.0000 0.0000 0.0000
As 0.0000 0.5000 0.5000
As 0.5000 0.0000 0.5000
As 0.5000 0.5000 0.0000
S 0.0000 0.0000 0.5000
S 0.0000 0.5000 0.0000
S 0.5000 0.0000 0.0000

Most intense lines, 15 to 90 degrees two-theta, in order of falling intensity:
| 2θ/deg | Rel. int. |
| --- | --- |
| 31.38 | 100 |
| 44.97 | 74 |
| 27.09 | 40 |
| 55.83 | 19 |
| 82.92 | 19 |
| 74.36 | 17 |
| 74.48 | 16 |
| 53.27 | 15 |
| 65.49 | 12 |
| 55.97 | 6 |

***

[8]
# LaU2MoC4
Calculated powder X-ray diffraction pattern, a wavelength of 1.5418 Å. Input: a cell relaxed with PBE.
Lines closer than 0.1° are merged.

Structure:
a b c (Å): 6.1792 6.1792 11.7183
angles (deg): 90.00 90.00 145.27
Positions (direct):
La 0.1180 0.8820 0.7500
La 0.8820 0.1180 0.2500
U 0.3734 0.6266 0.5433
U 0.3734 0.6266 0.9567
U 0.6266 0.3734 0.0433
U 0.6266 0.3734 0.4567
Mo 0.1435 0.8565 0.2500
Mo 0.8565 0.1435 0.7500
C 0.0000 0.0000 0.0000
C 0.0000 0.0000 0.5000
C 0.2511 0.7489 0.1136
C 0.2511 0.7489 0.3864
C 0.4342 0.5658 0.7500
C 0.5658 0.4342 0.2500
C 0.7489 0.2511 0.6136
C 0.7489 0.2511 0.8864

Most intense lines, 15 to 90 degrees two-theta, in order of falling intensity:
| 2θ/deg | Rel. int. |
| --- | --- |
| 29.61 | 100 |
| 36.77 | 73 |
| 30.31 | 57 |
| 27.39 | 47 |
| 30.51 | 27 |
| 48.36 | 25 |
| 46.55 | 24 |
| 41.46 | 20 |
| 43.55 | 20 |
| 49.43 | 19 |

***

[9]
# KIn4F12
Calculated powder X-ray diffraction pattern, a wavelength of 1.5418 Å. Input: a cell relaxed with PBE.
Lines closer than 0.1° are merged.

Structure:
a b c (Å): 7.4161 7.4161 7.4161
angles (deg): 109.52 109.45 109.44
Positions (direct):
K 0.0000 0.0000 0.0000
In 0.0000 0.0000 0.5000
In 0.0000 0.5000 0.0000
In 0.5000 0.0000 0.0000
In 0.5000 0.5000 0.5000
F 0.0185 0.2484 0.7701
F 0.2367 0.4893 0.2526
F 0.2367 0.9841 0.7474
F 0.2456 0.2339 0.4795
F 0.2456 0.7661 0.0117
F 0.4782 0.2484 0.2299
F 0.5218 0.7516 0.7701
F 0.7544 0.2339 0.9883
F 0.7544 0.7661 0.5205
F 0.7633 0.0159 0.2526
F 0.7633 0.5107 0.7474
F 0.9815 0.7516 0.2299

Most intense lines, 15 to 90 degrees two-theta, in order of falling intensity:
| 2θ/deg | Rel. int. |
| --- | --- |
| 20.75 | 100 |
| 29.50 | 59 |
| 47.48 | 43 |
| 42.21 | 32 |
| 52.34 | 25 |
| 65.39 | 19 |
| 61.23 | 19 |
| 84.70 | 13 |
| 69.41 | 10 |
| 80.96 | 8 |

***

[10]
# Ce4I5N
Calculated powder X-ray diffraction pattern, a wavelength of 1.5418 Å. Input: a cell relaxed with PBE.
Lines closer than 0.1° are merged.

Structure:
a b c (Å): 9.7864 9.7864 8.8059
angles (deg): 102.69 102.69 23.81
Positions (direct):
Ce 0.0022 0.0022 0.3096
Ce 0.3702 0.3702 0.4364
Ce 0.6298 0.6298 0.5636
Ce 0.9978 0.9978 0.6904
I 0.1648 0.1648 0.8475
I 0.1728 0.1728 0.3174
I 0.5000 0.5000 0.0000
I 0.8272 0.8272 0.6826
I 0.8352 0.8352 0.1525
N 0.5000 0.5000 0.5000

Most intense lines, 15 to 90 degrees two-theta, in order of falling intensity:
| 2θ/deg | Rel. int. |
| --- | --- |
| 30.03 | 100 |
| 28.70 | 42 |
| 32.66 | 33 |
| 42.10 | 25 |
| 41.94 | 24 |
| 29.52 | 21 |
| 44.91 | 19 |
| 27.10 | 17 |
| 32.84 | 15 |
| 34.81 | 14 |

***

[11]
# La5NdSn3
Calculated powder X-ray diffraction pattern, a wavelength of 1.5418 Å. Input: a cell relaxed with PBE.
Lines closer than 0.1° are merged.

Structure:
a b c (Å): 9.8155 9.8155 6.9041
angles (deg): 90.00 90.00 120.00
Positions (direct):
La 0.0000 0.3338 0.2500
La 0.0000 0.6662 0.7500
La 0.3333 0.6667 0.0000
La 0.3333 0.6667 0.5000
La 0.3338 0.0000 0.2500
La 0.3338 0.3338 0.7500
La 0.6662 0.0000 0.7500
La 0.6662 0.6662 0.2500
La 0.6667 0.3333 0.0000
La 0.6667 0.3333 0.5000
Nd 0.0000 0.0000 0.0000
Nd 0.0000 0.0000 0.5000
Sn 0.0000 0.3318 0.7500
Sn 0.0000 0.6682 0.2500
Sn 0.3318 0.0000 0.7500
Sn 0.3318 0.3318 0.2500
Sn 0.6682 0.0000 0.2500
Sn 0.6682 0.6682 0.7500

Most intense lines, 15 to 90 degrees two-theta, in order of falling intensity:
| 2θ/deg | Rel. int. |
| --- | --- |
| 31.58 | 100 |
| 31.69 | 90 |
| 56.28 | 55 |
| 45.34 | 34 |
| 63.07 | 28 |
| 75.01 | 15 |
| 80.97 | 14 |
| 65.93 | 12 |
| 89.49 | 11 |
| 41.22 | 9 |

***

[12]
# Li3Mg8Si4
Calculated powder X-ray diffraction pattern, a wavelength of 1.5418 Å. Input: a cell relaxed with PBE.
Lines closer than 0.1° are merged.

Structure:
a b c (Å): 6.5396 6.5396 6.5396
angles (deg): 90.00 90.00 90.00
Positions (direct):
Li 0.0000 0.0000 0.5000
Li 0.0000 0.5000 0.0000
Li 0.5000 0.0000 0.0000
Mg 0.2569 0.2569 0.2569
Mg 0.2569 0.2569 0.7431
Mg 0.2569 0.7431 0.2569
Mg 0.2569 0.7431 0.7431
Mg 0.7431 0.2569 0.2569
Mg 0.7431 0.2569 0.7431
Mg 0.7431 0.7431 0.2569
Mg 0.7431 0.7431 0.7431
Si 0.0000 0.0000 0.0000
Si 0.0000 0.5000 0.5000
Si 0.5000 0.0000 0.5000
Si 0.5000 0.5000 0.0000

Most intense lines, 15 to 90 degrees two-theta, in order of falling intensity:
| 2θ/deg | Rel. int. |
| --- | --- |
| 38.95 | 100 |
| 70.55 | 32 |
| 23.56 | 25 |
| 56.27 | 16 |
| 46.03 | 10 |
| 83.65 | 10 |
| 27.27 | 6 |
| 61.84 | 4 |
| 88.44 | 3 |
| 75.55 | 3 |